Record 1
For MgV4O5F7, a crystal structure in the Materials Project, relaxed with GGA+U gives the calculated powder diffraction line list in this record (Cu Kα X-rays).
Kinematic intensities with the Lorentz-polarization factor, no thermal factor.

Main lines, low angle first (15 to 90 degrees two-theta):
2theta	d_spacing	Rel. int.
23.08	3.854	100
23.33	3.812	83
24.44	3.642	99
33.58	2.669	26
47.17	1.927	28
50.09	1.821	25

Crystal structure
Unit cell a=5.3474 b=5.4729 c=8.7562 alpha=91.31 beta=104.40 gamma=118.64
Element x y z (fractional)
Mg 0.0000 0.0000 0.0000
V 0.2452 0.1754 0.4223
V 0.2573 0.6649 0.9063
V 0.7158 0.8790 0.6402
V 0.7359 0.4569 0.1526
O 0.4312 0.5262 0.4994
O 0.5017 0.5858 0.0973
O 0.5963 0.7921 0.8229
O 0.9306 0.0533 0.5137
O 0.9869 0.6237 0.0269
F 0.0429 0.7538 0.3273
F 0.0501 0.2481 0.8287
F 0.4332 0.0937 0.9940
F 0.4682 0.0641 0.5895
F 0.5363 0.2166 0.3015
F 0.9924 0.1835 0.2001
F 0.9934 0.7238 0.7230

***

Record 2
For FeO2, a crystal structure in the Materials Project, relaxed with GGA+U gives the calculated powder diffraction line list in this record (Cu Kα X-rays).
Kinematic intensities with the Lorentz-polarization factor, no thermal factor.

Main lines, low angle first (15 to 90 degrees two-theta):
2theta	d_spacing	Rel. int.
18.49	4.798	33
30.21	2.958	46
30.44	2.936	31
35.15	2.553	100
36.37	2.470	28
36.57	2.457	27

Crystal structure
Unit cell a=5.8771 b=5.8771 c=14.3106 alpha=91.45 beta=91.45 gamma=61.85
Element x y z (fractional)
Fe 0.0000 0.0000 0.0000
Fe 0.0014 0.0014 0.6182
Fe 0.0009 0.5034 0.1245
Fe 0.0061 0.0061 0.2461
Fe 0.1694 0.6659 0.4532
Fe 0.3312 0.3312 0.9183
Fe 0.3403 0.8311 0.7953
Fe 0.3435 0.3435 0.6626
Fe 0.5034 0.0009 0.1245
Fe 0.6659 0.1694 0.4532
Fe 0.6738 0.6738 0.3351
Fe 0.8311 0.3403 0.7953
O 0.0050 0.5202 0.3807
O 0.0176 0.0176 0.8654
O 0.0177 0.4805 0.8658
O 0.1490 0.6816 0.2020
O 0.1583 0.1583 0.7030
O 0.1764 0.7006 0.7014
O 0.1780 0.1780 0.2004
O 0.2793 0.8443 0.5384
O 0.3250 0.8587 0.0455
O 0.3257 0.3257 0.0479
O 0.3496 0.3496 0.5312
O 0.4805 0.0177 0.8658
O 0.4981 0.4981 0.8653
O 0.5040 0.5040 0.3871
O 0.5202 0.0050 0.3807
O 0.6619 0.6619 0.7358
O 0.6816 0.1490 0.2020
O 0.6822 0.6822 0.2024
O 0.7006 0.1764 0.7014
O 0.8268 0.8268 0.0468
O 0.8443 0.2793 0.5384
O 0.8518 0.8518 0.5355
O 0.8587 0.3250 0.0455
O 0.9914 0.9914 0.3747

***

Record 3
For LiMnF4, a crystal structure in the Materials Project, relaxed with GGA+U gives the calculated powder diffraction line list in this record (Cu Kα X-rays).
Kinematic intensities with the Lorentz-polarization factor, no thermal factor.

Main lines, low angle first (15 to 90 degrees two-theta):
2theta	d_spacing	Rel. int.
17.45	5.083	80
23.11	3.849	55
24.54	3.627	100
29.10	3.068	44
46.80	1.941	28
50.72	1.800	22

Crystal structure
Unit cell a=5.4415 b=5.4415 c=7.6972 alpha=90.00 beta=90.00 gamma=138.20
Element x y z (fractional)
Li 0.2307 0.7693 0.7500
Li 0.7693 0.2307 0.2500
Mn 0.5000 0.5000 0.0000
Mn 0.5000 0.5000 0.5000
F 0.0000 0.0000 0.0000
F 0.0000 0.0000 0.5000
F 0.3307 0.6693 0.0849
F 0.3307 0.6693 0.4151
F 0.4185 0.5815 0.7500
F 0.5815 0.4185 0.2500
F 0.6693 0.3307 0.5849
F 0.6693 0.3307 0.9151

***

Record 4
For CsLuMo2O8, a crystal structure in the Materials Project, relaxed with GGA+U gives the calculated powder diffraction line list in this record (Cu Kα X-rays).
Kinematic intensities with the Lorentz-polarization factor, no thermal factor.

Main lines, low angle first (15 to 90 degrees two-theta):
2theta	d_spacing	Rel. int.
25.51	3.491	100
28.46	3.136	100
28.98	3.081	57
35.54	2.526	16
46.49	1.953	45
52.74	1.736	26

Crystal structure
Unit cell a=5.0513 b=9.6612 c=8.0010 alpha=90.00 beta=90.00 gamma=90.00
Element x y z (fractional)
Cs 0.0000 0.0000 0.2500
Cs 0.0000 0.0000 0.7500
Lu 0.0000 0.5000 0.2500
Lu 0.0000 0.5000 0.7500
Mo 0.4768 0.3090 0.0000
Mo 0.4768 0.6910 0.5000
Mo 0.5232 0.3090 0.5000
Mo 0.5232 0.6910 0.0000
O 0.2431 0.4359 0.5000
O 0.2431 0.5641 0.0000
O 0.2562 0.3195 0.1782
O 0.2562 0.3195 0.8218
O 0.2562 0.6805 0.3218
O 0.2562 0.6805 0.6782
O 0.3927 0.1413 0.5000
O 0.3927 0.8587 0.0000
O 0.6073 0.1413 0.0000
O 0.6073 0.8587 0.5000
O 0.7438 0.3195 0.3218
O 0.7438 0.3195 0.6782
O 0.7438 0.6805 0.1782
O 0.7438 0.6805 0.8218
O 0.7569 0.4359 0.0000
O 0.7569 0.5641 0.5000

***

Record 5
For Na7Cr2O6, a crystal structure in the Materials Project, relaxed with GGA+U gives the calculated powder diffraction line list in this record (Cu Kα X-rays).
Kinematic intensities with the Lorentz-polarization factor, no thermal factor.

Main lines, low angle first (15 to 90 degrees two-theta):
2theta	d_spacing	Rel. int.
23.69	3.756	55
24.49	3.635	44
34.83	2.575	100
35.03	2.562	96
37.31	2.410	84
44.98	2.015	47

Crystal structure
Unit cell a=8.0750 b=8.0750 c=10.6194 alpha=103.99 beta=103.99 gamma=42.45
Element x y z (fractional)
Na 0.0742 0.9258 0.7500
Na 0.1867 0.2653 0.8090
Na 0.2425 0.4216 0.5946
Na 0.2653 0.1867 0.3090
Na 0.2996 0.5818 0.3508
Na 0.4182 0.7004 0.1492
Na 0.4216 0.2425 0.0946
Na 0.5784 0.7575 0.9054
Na 0.5818 0.2996 0.8508
Na 0.7004 0.4182 0.6492
Na 0.7347 0.8133 0.6910
Na 0.7575 0.5784 0.4054
Na 0.8133 0.7347 0.1910
Na 0.9258 0.0742 0.2500
Cr 0.0115 0.2261 0.0398
Cr 0.2261 0.0115 0.5398
Cr 0.7739 0.9885 0.4602
Cr 0.9885 0.7739 0.9602
O 0.0064 0.3446 0.5801
O 0.1337 0.6720 0.1246
O 0.1544 0.6005 0.8135
O 0.3280 0.8663 0.3754
O 0.3446 0.0064 0.0801
O 0.3995 0.8456 0.6865
O 0.6005 0.1544 0.3135
O 0.6554 0.9936 0.9199
O 0.6720 0.1337 0.6246
O 0.8456 0.3995 0.1865
O 0.8663 0.3280 0.8754
O 0.9936 0.6554 0.4199